(1)
Pr3Cu2Si2Ge2Pd2: computed powder diffraction line list (Cu Kα (weighted mean of Kα1 and Kα2)), based on a cell relaxed with PBE.
Lines closer than 0.1° are merged.

Most intense lines, 2θ from 10° to 90°, low angle first:
d = 3.175 Å, I = 13
d = 2.687 Å, I = 100
d = 2.320 Å, I = 24
d = 2.151 Å, I = 20
d = 2.067 Å, I = 19
d = 1.543 Å, I = 13

Crystal structure
Lattice parameters (Å, degrees): 12.749 12.749 12.749 161.34 160.57 27.07
Fractional coordinates of all 11 atoms:
1 Pr 0.000 0.000 0.000
2 Pr 0.346 0.846 0.500
3 Pr 0.654 0.154 0.500
4 Cu 0.250 0.250 0.000
5 Cu 0.750 0.750 0.000
6 Si 0.199 0.699 0.500
7 Si 0.801 0.301 0.500
8 Ge 0.450 0.450 0.000
9 Ge 0.550 0.550 0.000
10 Pd 0.101 0.601 0.500
11 Pd 0.899 0.399 0.500

(2)
Cu37Ag3: computed powder diffraction line list (Cu Kα (weighted mean of Kα1 and Kα2)), based on a cell relaxed with PBE.
Lines closer than 0.1° are merged.

Most intense lines, 2θ from 10° to 90°, low angle first:
d = 2.103 Å, I = 100
d = 1.822 Å, I = 31
d = 1.821 Å, I = 16
d = 1.288 Å, I = 26
d = 1.099 Å, I = 10
d = 1.098 Å, I = 21

Crystal structure
Lattice parameters (Å, degrees): 5.757 9.284 9.984 90.04 106.75 108.04
Fractional coordinates of all 40 atoms:
1 Cu 0.000 0.000 0.000
2 Cu 0.001 0.497 0.505
3 Cu 0.050 0.126 0.776
4 Cu 0.071 0.628 0.281
5 Cu 0.106 0.253 0.557
6 Cu 0.114 0.756 0.050
7 Cu 0.149 0.877 0.823
8 Cu 0.155 0.374 0.335
9 Cu 0.201 0.501 0.101
10 Cu 0.211 0.009 0.607
11 Cu 0.245 0.628 0.872
12 Cu 0.256 0.129 0.382
13 Cu 0.286 0.249 0.153
14 Cu 0.309 0.754 0.656
15 Cu 0.338 0.374 0.921
16 Cu 0.367 0.884 0.430
17 Cu 0.402 0.503 0.705
18 Cu 0.406 0.009 0.202
19 Cu 0.439 0.122 0.972
20 Cu 0.444 0.627 0.483
21 Cu 0.497 0.762 0.253
22 Cu 0.504 0.254 0.755
23 Cu 0.551 0.885 0.024
24 Cu 0.552 0.378 0.533
25 Cu 0.587 0.497 0.309
26 Cu 0.601 0.003 0.802
27 Cu 0.655 0.130 0.582
28 Cu 0.699 0.250 0.361
29 Cu 0.705 0.756 0.848
30 Cu 0.751 0.882 0.630
31 Cu 0.805 0.501 0.897
32 Cu 0.806 0.011 0.405
33 Cu 0.849 0.625 0.680
34 Cu 0.853 0.121 0.180
35 Cu 0.901 0.247 0.948
36 Cu 0.951 0.376 0.727
37 Cu 0.969 0.887 0.228
38 Ag 0.655 0.635 0.078
39 Ag 0.748 0.370 0.129
40 Ag 0.903 0.754 0.452

(3)
GePAuO: computed powder diffraction line list (Cu Kα (weighted mean of Kα1 and Kα2)), based on a cell relaxed with PBE.
Lines closer than 0.1° are merged.

Most intense lines, 2θ from 10° to 90°, low angle first:
d = 8.198 Å, I = 75
d = 4.099 Å, I = 36
d = 3.393 Å, I = 100
d = 2.627 Å, I = 34
d = 2.147 Å, I = 23
d = 1.955 Å, I = 32

Crystal structure
Lattice parameters (Å, degrees): 3.727 8.198 5.547 90.00 90.00 90.00
Fractional coordinates of all 8 atoms:
1 Ge 0.000 0.115 0.000
2 Ge 0.000 0.885 0.500
3 P 0.500 0.270 0.912
4 P 0.500 0.730 0.412
5 Au 0.500 0.495 0.652
6 Au 0.500 0.505 0.152
7 O 0.000 0.065 0.316
8 O 0.000 0.935 0.816